Theoretical powder diffraction line list of YIn7Cu5 for Cu Kα X-rays, from the GGA-PBE geometry in the Materials Project.
Kinematic intensities with the Lorentz-polarization factor, no thermal factor.

Main lines, by angle (15 to 90 degrees two-theta):
Position (°2θ)	I_rel
31.8	34
32.5	25
32.7	40
37.2	50
37.9	100
38.0	29
38.2	21
42.0	73
42.5	19
42.7	23
60.7	24
68.6	18

Crystal structure
```
13
Lattice="-2.812 4.711 4.735 2.812 -4.711 4.735 2.812 4.711 -4.735" Properties=species:S:1:pos:R:3 pbc="T T T"
Y 0.000 0.000 0.000
In 2.812 1.894 0.102
In 2.812 -1.505 4.615
In 0.000 0.000 3.154
In 2.812 1.505 4.615
In 0.000 0.000 6.219
In 0.000 4.711 2.591
In 0.000 2.817 4.836
Cu 1.421 2.411 -2.361
Cu 1.392 -2.300 2.373
Cu 2.812 0.000 2.118
Cu 1.421 7.011 -2.361
Cu 1.392 2.300 2.373
```